The following is a simulated XRD peak list of Dy3Pb2Au2. It was derived from a PBE-relaxed structure, using copper Kα.
Neutral-atom scattering factors, no anomalous dispersion.

Structure:
```
Dy3Pb2Au2
1.0
2.281 -11.223 0.000
2.281 11.223 0.000
0.000 0.000 3.502
Dy Pb Au
3 2 2
direct
0.000 0.000 0.000
0.172 0.828 0.000
0.828 0.172 0.000
0.420 0.580 0.500
0.580 0.420 0.500
0.287 0.713 0.500
0.713 0.287 0.500
```

Principal peaks in the range 10 to 80 degrees two-theta, low angle first:
| two_theta | d/Å | I/Imax |
| --- | --- | --- |
| 32.48 | 2.757 | 100.0 |
| 34.18 | 2.623 | 79.3 |
| 34.44 | 2.604 | 22.4 |
| 35.10 | 2.557 | 62.5 |
| 38.10 | 2.362 | 18.0 |
| 39.51 | 2.281 | 42.2 |
| 43.09 | 2.100 | 22.6 |
| 52.25 | 1.751 | 19.0 |
| 53.87 | 1.702 | 37.3 |
| 63.91 | 1.457 | 34.8 |


The following is a simulated XRD peak list of Ac3Al2CdPd6. It was derived from a PBE-relaxed structure, using copper Kα.
Neutral-atom scattering factors, no anomalous dispersion.

Structure:
```
Ac3Al2CdPd6
1.0
5.942 0.000 0.000
-2.971 5.146 0.000
0.000 0.000 9.135
Ac Al Cd Pd
3 2 1 6
direct
0.000 0.000 0.000
0.333 0.667 0.640
0.667 0.333 0.360
0.333 0.667 0.047
0.667 0.333 0.953
0.000 0.000 0.500
0.175 0.350 0.271
0.175 0.825 0.271
0.350 0.175 0.729
0.650 0.825 0.271
0.825 0.175 0.729
0.825 0.650 0.729
```

Principal peaks in the range 10 to 80 degrees two-theta, low angle first:
| two_theta | d/Å | I/Imax |
| --- | --- | --- |
| 19.80 | 4.483 | 27.5 |
| 26.09 | 3.416 | 62.0 |
| 29.33 | 3.045 | 23.0 |
| 30.08 | 2.971 | 41.0 |
| 36.07 | 2.490 | 33.6 |
| 36.28 | 2.476 | 100.0 |
| 40.23 | 2.242 | 73.0 |
| 43.35 | 2.087 | 27.9 |
| 62.53 | 1.485 | 28.5 |
| 62.75 | 1.481 | 25.7 |


The following is a simulated XRD peak list of FeSiN. It was derived from a PBE-relaxed structure, using copper Kα.
Neutral-atom scattering factors, no anomalous dispersion.

Structure:
```
FeSiN
1.0
2.759 0.000 0.000
0.000 5.119 0.000
0.000 0.000 4.569
Fe Si N
2 2 2
direct
0.000 0.051 0.000
0.500 0.949 0.500
0.000 0.358 0.547
0.500 0.642 0.047
0.000 0.447 0.926
0.500 0.553 0.426
```

Principal peaks in the range 10 to 80 degrees two-theta, low angle first:
| two_theta | d/Å | I/Imax |
| --- | --- | --- |
| 17.32 | 5.119 | 32.8 |
| 35.06 | 2.559 | 28.8 |
| 37.01 | 2.429 | 37.6 |
| 38.10 | 2.362 | 35.5 |
| 39.44 | 2.285 | 62.5 |
| 40.40 | 2.233 | 44.8 |
| 42.14 | 2.145 | 100.0 |
| 52.74 | 1.736 | 46.0 |
| 53.76 | 1.705 | 21.8 |
| 73.38 | 1.290 | 20.9 |


The following is a simulated XRD peak list of CaPr2PuO6. It was derived from a PBE-relaxed structure, using copper Kα.
Neutral-atom scattering factors, no anomalous dispersion.

Structure:
```
CaPr2PuO6
1.0
3.016 1.741 5.126
-3.016 1.741 5.126
0.000 -3.482 5.126
Ca Pr Pu O
1 2 1 6
direct
0.000 0.000 0.000
0.275 0.275 0.275
0.779 0.779 0.779
0.494 0.494 0.494
0.127 0.685 0.383
0.206 0.611 0.864
0.383 0.127 0.685
0.611 0.864 0.206
0.685 0.383 0.127
0.864 0.206 0.611
```

Principal peaks in the range 10 to 80 degrees two-theta, low angle first:
| two_theta | d/Å | I/Imax |
| --- | --- | --- |
| 17.30 | 5.126 | 18.3 |
| 17.93 | 4.946 | 44.8 |
| 28.84 | 3.096 | 100.0 |
| 29.62 | 3.016 | 99.7 |
| 34.51 | 2.599 | 23.0 |
| 41.81 | 2.160 | 44.0 |
| 46.50 | 1.953 | 27.5 |
| 52.07 | 1.756 | 43.7 |
| 52.56 | 1.741 | 29.7 |
| 69.31 | 1.356 | 16.1 |


The following is a simulated XRD peak list of K4ZnH6. It was derived from a PBE-relaxed structure, using copper Kα.
Neutral-atom scattering factors, no anomalous dispersion.

Structure:
```
K4ZnH6
1.0
6.530 -2.908 0.000
6.530 2.908 0.000
-4.474 0.000 12.299
K Zn H
8 2 12
direct
0.039 0.574 0.734
0.217 0.783 0.500
0.250 0.686 0.189
0.412 0.948 0.862
0.574 0.039 0.234
0.686 0.250 0.689
0.783 0.217 0.000
0.948 0.412 0.362
0.518 0.962 0.482
0.962 0.518 0.982
0.040 0.691 0.981
0.141 0.568 0.311
0.195 0.264 0.043
0.223 0.767 0.699
0.264 0.195 0.543
0.421 0.898 0.349
0.568 0.141 0.811
0.684 0.699 0.537
0.691 0.040 0.481
0.699 0.684 0.037
0.767 0.223 0.199
0.898 0.421 0.849
```

Principal peaks in the range 10 to 80 degrees two-theta, low angle first:
| two_theta | d/Å | I/Imax |
| --- | --- | --- |
| 14.42 | 6.142 | 26.6 |
| 16.56 | 5.354 | 26.9 |
| 17.35 | 5.111 | 26.8 |
| 23.73 | 3.749 | 25.5 |
| 25.53 | 3.488 | 100.0 |
| 29.08 | 3.071 | 44.8 |
| 29.36 | 3.042 | 40.2 |
| 29.55 | 3.023 | 82.2 |
| 30.75 | 2.908 | 51.4 |
| 42.83 | 2.111 | 56.3 |


The following is a simulated XRD peak list of Ba4SbPO. It was derived from a PBE-relaxed structure, using copper Kα.
Neutral-atom scattering factors, no anomalous dispersion.

Structure:
```
Ba4SbPO
1.0
-2.608 2.608 9.124
2.608 -2.608 9.124
2.608 2.608 -9.124
Ba Sb P O
4 1 1 1
direct
0.000 0.000 0.000
0.198 0.698 0.500
0.361 0.361 0.000
0.698 0.198 0.500
0.555 0.555 0.000
0.824 0.824 0.000
0.220 0.220 0.000
```

Principal peaks in the range 10 to 80 degrees two-theta, low angle first:
| two_theta | d/Å | I/Imax |
| --- | --- | --- |
| 26.06 | 3.420 | 100.0 |
| 29.37 | 3.041 | 27.2 |
| 29.88 | 2.990 | 35.8 |
| 31.18 | 2.868 | 61.7 |
| 34.38 | 2.608 | 60.1 |
| 45.83 | 1.980 | 31.3 |
| 46.18 | 1.966 | 21.2 |
| 49.42 | 1.844 | 21.0 |
| 56.71 | 1.623 | 23.1 |
| 59.60 | 1.551 | 19.1 |


The following is a simulated XRD peak list of Pm3In3Hg2Ru. It was derived from a PBE-relaxed structure, using copper Kα.
Neutral-atom scattering factors, no anomalous dispersion.

Structure:
```
Pm3In3Hg2Ru
1.0
7.828 0.000 0.000
-3.914 6.780 0.000
0.000 0.000 4.253
Pm In Hg Ru
3 3 2 1
direct
0.000 0.611 0.000
0.389 0.389 0.000
0.611 0.000 0.000
0.000 0.241 0.500
0.241 0.000 0.500
0.759 0.759 0.500
0.333 0.667 0.500
0.667 0.333 0.500
0.000 0.000 0.000
```

Principal peaks in the range 10 to 80 degrees two-theta, low angle first:
| two_theta | d/Å | I/Imax |
| --- | --- | --- |
| 31.05 | 2.880 | 100.0 |
| 33.81 | 2.651 | 66.0 |
| 35.02 | 2.562 | 37.2 |
| 39.89 | 2.260 | 42.4 |
| 41.13 | 2.195 | 36.4 |
| 42.51 | 2.127 | 25.7 |
| 56.21 | 1.636 | 18.8 |
| 59.71 | 1.549 | 26.0 |
| 63.71 | 1.461 | 24.6 |
| 66.97 | 1.397 | 15.6 |


The following is a simulated XRD peak list of InAg3. It was derived from a PBE-relaxed structure, using copper Kα.
Neutral-atom scattering factors, no anomalous dispersion.

Structure:
```
InAg3
1.0
5.371 0.000 0.000
0.000 9.659 0.000
0.000 0.000 5.893
In Ag
4 12
direct
0.073 0.250 0.108
0.427 0.750 0.608
0.573 0.250 0.392
0.927 0.750 0.892
0.075 0.250 0.619
0.247 0.001 0.369
0.247 0.499 0.369
0.253 0.501 0.869
0.253 0.999 0.869
0.425 0.750 0.119
0.575 0.250 0.881
0.747 0.001 0.131
0.747 0.499 0.131
0.753 0.501 0.631
0.753 0.999 0.631
0.925 0.750 0.381
```

Principal peaks in the range 10 to 80 degrees two-theta, low angle first:
| two_theta | d/Å | I/Imax |
| --- | --- | --- |
| 34.69 | 2.586 | 33.4 |
| 35.99 | 2.496 | 50.3 |
| 37.24 | 2.415 | 57.7 |
| 38.35 | 2.347 | 67.0 |
| 39.56 | 2.278 | 100.0 |
| 44.99 | 2.015 | 26.3 |
| 60.52 | 1.530 | 25.4 |
| 68.70 | 1.366 | 18.2 |
| 73.23 | 1.293 | 34.4 |
| 76.32 | 1.248 | 15.6 |


The following is a simulated XRD peak list of Ho2TmTh2. It was derived from a PBE-relaxed structure, using copper Kα.
Neutral-atom scattering factors, no anomalous dispersion.

Structure:
```
Ho2TmTh2
1.0
5.010 -5.065 0.000
5.010 5.065 0.000
-0.127 0.000 6.406
Ho Tm Th
4 2 4
direct
0.040 0.960 0.500
0.620 0.813 0.685
0.813 0.620 0.185
0.960 0.040 0.000
0.187 0.376 0.314
0.376 0.187 0.814
0.186 0.613 0.805
0.382 0.810 0.192
0.613 0.186 0.305
0.810 0.382 0.692
```

Principal peaks in the range 10 to 80 degrees two-theta, low angle first:
| two_theta | d/Å | I/Imax |
| --- | --- | --- |
| 27.87 | 3.201 | 37.6 |
| 28.14 | 3.171 | 20.5 |
| 30.77 | 2.906 | 33.1 |
| 31.19 | 2.868 | 100.0 |
| 31.72 | 2.821 | 41.5 |
| 32.89 | 2.723 | 23.0 |
| 33.09 | 2.707 | 15.2 |
| 38.05 | 2.365 | 22.1 |
| 40.17 | 2.245 | 19.6 |
| 42.54 | 2.125 | 18.7 |


The following is a simulated XRD peak list of Rb2HgF5. It was derived from a PBE-relaxed structure, using copper Kα.
Neutral-atom scattering factors, no anomalous dispersion.

Structure:
```
Rb2HgF5
1.0
10.872 0.000 0.000
0.000 8.205 0.000
0.000 0.000 6.793
Rb Hg F
8 4 20
direct
0.164 0.007 0.069
0.164 0.493 0.069
0.336 0.507 0.569
0.336 0.993 0.569
0.664 0.007 0.431
0.664 0.493 0.431
0.836 0.507 0.931
0.836 0.993 0.931
0.005 0.750 0.460
0.495 0.250 0.960
0.505 0.750 0.040
0.995 0.250 0.540
0.027 0.250 0.862
0.062 0.558 0.684
0.062 0.942 0.684
0.174 0.250 0.419
0.189 0.750 0.364
0.311 0.250 0.864
0.326 0.750 0.919
0.438 0.058 0.184
0.438 0.442 0.184
0.473 0.750 0.362
0.527 0.250 0.638
0.562 0.558 0.816
0.562 0.942 0.816
0.674 0.250 0.081
0.689 0.750 0.136
0.811 0.250 0.636
0.826 0.750 0.581
0.938 0.058 0.316
0.938 0.442 0.316
0.973 0.750 0.138
```

Principal peaks in the range 10 to 80 degrees two-theta, low angle first:
| two_theta | d/Å | I/Imax |
| --- | --- | --- |
| 15.38 | 5.761 | 41.1 |
| 26.24 | 3.396 | 26.4 |
| 26.68 | 3.342 | 100.0 |
| 27.23 | 3.274 | 43.8 |
| 27.90 | 3.197 | 64.5 |
| 35.31 | 2.542 | 22.5 |
| 38.18 | 2.357 | 31.5 |
| 39.78 | 2.266 | 23.2 |
| 49.30 | 1.849 | 22.8 |
| 53.04 | 1.726 | 21.5 |


The following is a simulated XRD peak list of MgN. It was derived from a PBE-relaxed structure, using copper Kα.
Neutral-atom scattering factors, no anomalous dispersion.

Structure:
```
MgN
1.0
7.291 0.000 0.000
0.000 7.291 0.000
0.000 0.000 4.266
Mg N
8 8
direct
0.125 0.375 0.000
0.197 0.697 0.500
0.303 0.197 0.500
0.375 0.875 0.000
0.625 0.125 0.000
0.697 0.803 0.500
0.803 0.303 0.500
0.875 0.625 0.000
0.065 0.435 0.500
0.178 0.678 0.000
0.322 0.178 0.000
0.435 0.935 0.500
0.565 0.065 0.500
0.678 0.822 0.000
0.822 0.322 0.000
0.935 0.565 0.500
```

Principal peaks in the range 10 to 80 degrees two-theta, low angle first:
| two_theta | d/Å | I/Imax |
| --- | --- | --- |
| 17.20 | 5.155 | 100.0 |
| 24.42 | 3.645 | 15.6 |
| 34.63 | 2.590 | 24.9 |
| 34.80 | 2.578 | 12.3 |
| 39.07 | 2.306 | 10.7 |
| 42.38 | 2.133 | 27.0 |
| 44.82 | 2.022 | 21.8 |
| 46.06 | 1.971 | 11.4 |
| 51.69 | 1.768 | 14.7 |
| 63.39 | 1.467 | 13.5 |